Structure and calculated powder diffraction line list of Tm8Hg2Pt (a crystal structure in Alexandria, relaxed with PBE; Cu Kα X-rays).

Structural model:
```
11
Lattice="8.826 -2.551 0.000 8.826 2.551 0.000 -1.625 0.000 6.540" Properties=species:S:1:pos:R:3 pbc="T T T"
Tm -0.033 0.000 1.805
Tm 2.281 0.000 5.348
Tm 5.223 0.000 3.482
Tm 7.159 0.000 0.412
Tm 8.869 0.000 6.128
Tm 10.806 0.000 3.058
Tm 13.747 0.000 1.192
Tm 16.061 0.000 4.735
Hg 2.947 0.000 1.543
Hg 13.081 0.000 4.997
Pt 8.014 0.000 3.270
```

Largest 12 diffraction maxima, low angle first, 10 to 90 degrees two-theta:
two_theta  intensity
29.0  30
31.5  98
31.7  47
31.9  76
33.1  34
34.0  75
35.2  100
37.3  24
37.5  47
40.2  32
47.8  26
66.5  36